Entry 1:
The following is a calculated XRD peak list of Li9Mn2Co5O16. It was derived from a cell relaxed with GGA+U, using Cu Kα (λ = 1.5418 Å).

Structural model:
Cell lengths 7.7929, 7.7929, 5.1219 Å; angles 103.49, 103.49, 96.64 degrees
Element x y z (fractional)
Li1 0.0000 0.0000 0.0000
Li2 0.0000 0.5000 0.5000
Li3 0.1233 0.3651 0.0009
Li4 0.2403 0.2403 0.4853
Li5 0.3651 0.1233 0.0009
Li6 0.5000 0.0000 0.5000
Li7 0.6349 0.8767 0.9991
Li8 0.7597 0.7597 0.5147
Li9 0.8767 0.6349 0.9991
Mn1 0.2448 0.7552 0.0000
Mn2 0.7552 0.2448 0.0000
Co1 0.1206 0.8794 0.5000
Co2 0.3751 0.6249 0.5000
Co3 0.5000 0.5000 0.0000
Co4 0.6249 0.3751 0.5000
Co5 0.8794 0.1206 0.5000
O1 0.0166 0.7450 0.7659
O2 0.1159 0.1159 0.7215
O3 0.1421 0.6455 0.2481
O4 0.2550 0.9834 0.2341
O5 0.2604 0.5150 0.7658
O6 0.3545 0.8579 0.7519
O7 0.3851 0.3851 0.2654
O8 0.4850 0.7396 0.2342
O9 0.5150 0.2604 0.7658
O10 0.6149 0.6149 0.7346
O11 0.6455 0.1421 0.2481
O12 0.7396 0.4850 0.2342
O13 0.7450 0.0166 0.7659
O14 0.8579 0.3545 0.7519
O15 0.8841 0.8841 0.2785
O16 0.9834 0.2550 0.2341

Main lines, sorted by position (15 to 90 degrees two-theta):
- 18.28 deg, I = 100
- 35.46 deg, I = 15
- 36.10 deg, I = 26
- 37.50 deg, I = 11
- 42.72 deg, I = 29
- 43.80 deg, I = 54
- 57.69 deg, I = 10
- 62.54 deg, I = 15
- 63.15 deg, I = 15
- 80.02 deg, I = 10



Entry 2:
The following is a calculated XRD peak list of Na3Mg4Mo6O24. It was derived from a cell relaxed with GGA+U, using Cu Kα (λ = 1.5418 Å).

Structural model:
Cell lengths 7.1061, 8.8134, 10.4600 Å; angles 106.98, 105.14, 103.54 degrees
Element x y z (fractional)
Na1 0.0000 0.0000 0.0000
Na2 0.2859 0.7916 0.3012
Na3 0.7141 0.2084 0.6988
Mg1 0.0425 0.6996 0.5172
Mg2 0.3758 0.4562 0.1026
Mg3 0.6242 0.5438 0.8974
Mg4 0.9575 0.3004 0.4828
Mo1 0.1175 0.5945 0.8339
Mo2 0.2151 0.1641 0.7611
Mo3 0.4058 0.2430 0.3692
Mo4 0.5942 0.7570 0.6308
Mo5 0.7849 0.8359 0.2389
Mo6 0.8825 0.4055 0.1661
O1 0.0230 0.2306 0.6601
O2 0.0780 0.5568 0.6460
O3 0.1209 0.5056 0.1479
O4 0.1627 0.9452 0.6708
O5 0.1753 0.8095 0.9225
O6 0.2167 0.2090 0.9410
O7 0.2462 0.3116 0.4660
O8 0.2674 0.0269 0.2592
O9 0.3299 0.5306 0.9219
O10 0.3461 0.7365 0.5107
O11 0.4342 0.3529 0.2520
O12 0.4642 0.2808 0.7681
O13 0.5358 0.7192 0.2319
O14 0.5658 0.6471 0.7480
O15 0.6539 0.2635 0.4893
O16 0.6701 0.4694 0.0781
O17 0.7326 0.9731 0.7408
O18 0.7538 0.6884 0.5340
O19 0.7833 0.7910 0.0590
O20 0.8247 0.1905 0.0775
O21 0.8373 0.0548 0.3292
O22 0.8791 0.4944 0.8521
O23 0.9220 0.4432 0.3540
O24 0.9770 0.7694 0.3399

Main lines, sorted by position (15 to 90 degrees two-theta):
- 18.97 deg, I = 37
- 19.27 deg, I = 42
- 20.82 deg, I = 75
- 21.99 deg, I = 68
- 25.79 deg, I = 77
- 26.05 deg, I = 41
- 26.49 deg, I = 90
- 26.72 deg, I = 64
- 27.51 deg, I = 100
- 31.98 deg, I = 37



Entry 3:
The following is a calculated XRD peak list of Ba2MgMnO4. It was derived from a cell relaxed with GGA+U, using Cu Kα (λ = 1.5418 Å).

Structural model:
Cell lengths 4.0286, 4.0286, 8.0105 Å; angles 90.12, 90.12, 90.00 degrees
Element x y z (fractional)
Ba1 0.0000 0.0000 0.0000
Ba2 0.5037 0.5037 0.3506
Mg1 0.5001 0.5001 0.7713
Mn1 0.0007 0.0007 0.6013
O1 0.9999 0.9999 0.3383
O2 0.0000 0.5004 0.7023
O3 0.5004 0.0000 0.7023
O4 0.5044 0.5044 0.0283

Main lines, sorted by position (15 to 90 degrees two-theta):
- 24.74 deg, I = 56
- 31.42 deg, I = 100
- 31.53 deg, I = 34
- 33.56 deg, I = 24
- 38.77 deg, I = 11
- 45.00 deg, I = 33
- 46.65 deg, I = 19
- 52.03 deg, I = 16
- 55.94 deg, I = 20
- 74.48 deg, I = 13



Entry 4:
The following is a calculated XRD peak list of Na4Ni7P6O24. It was derived from a cell relaxed with GGA+U, using Cu Kα (λ = 1.5418 Å).

Structural model:
Cell lengths 8.8684, 8.8684, 6.4969 Å; angles 98.89, 98.89, 105.65 degrees
Element x y z (fractional)
Na1 0.0000 0.0000 0.0000
Na2 0.2103 0.4596 0.0024
Na3 0.4596 0.2103 0.0024
Na4 0.6524 0.6524 0.9412
Ni1 0.0810 0.7063 0.2812
Ni2 0.0981 0.3500 0.4646
Ni3 0.3500 0.0981 0.4646
Ni4 0.3598 0.7468 0.6454
Ni5 0.7063 0.0810 0.2812
Ni6 0.7237 0.7237 0.4628
Ni7 0.7468 0.3598 0.6454
P1 0.0058 0.6289 0.7433
P2 0.0372 0.0372 0.5055
P3 0.4144 0.4144 0.4276
P4 0.4384 0.8225 0.1804
P5 0.6289 0.0058 0.7433
P6 0.8225 0.4384 0.1804
O1 0.0046 0.4431 0.2116
O2 0.0072 0.4477 0.7143
O3 0.0613 0.7236 0.9721
O4 0.1154 0.7090 0.6016
O5 0.1230 0.9467 0.3555
O6 0.1757 0.1757 0.6604
O7 0.2791 0.2791 0.2602
O8 0.3245 0.5040 0.5702
O9 0.3267 0.7406 0.3197
O10 0.3832 0.7223 0.9531
O11 0.4431 0.0046 0.2116
O12 0.4477 0.0072 0.7143
O13 0.5040 0.3245 0.5702
O14 0.5235 0.5235 0.3173
O15 0.6096 0.8224 0.6731
O16 0.6204 0.8348 0.2506
O17 0.7090 0.1154 0.6016
O18 0.7223 0.3832 0.9531
O19 0.7236 0.0613 0.9721
O20 0.7406 0.3267 0.3197
O21 0.8224 0.6096 0.6731
O22 0.8348 0.6204 0.2506
O23 0.9273 0.9273 0.6135
O24 0.9467 0.1230 0.3555

Main lines, sorted by position (15 to 90 degrees two-theta):
- 23.85 deg, I = 34
- 31.17 deg, I = 50
- 32.14 deg, I = 100
- 32.84 deg, I = 33
- 33.54 deg, I = 90
- 33.89 deg, I = 28
- 37.94 deg, I = 25
- 41.27 deg, I = 22
- 54.91 deg, I = 29
- 66.67 deg, I = 29



Please write out number 4 again, unchanged.
The following is a calculated XRD peak list of Na4Ni7P6O24. It was derived from a cell relaxed with GGA+U, using Cu Kα (λ = 1.5418 Å).

Structural model:
Cell lengths 8.8684, 8.8684, 6.4969 Å; angles 98.89, 98.89, 105.65 degrees
Element x y z (fractional)
Na1 0.0000 0.0000 0.0000
Na2 0.2103 0.4596 0.0024
Na3 0.4596 0.2103 0.0024
Na4 0.6524 0.6524 0.9412
Ni1 0.0810 0.7063 0.2812
Ni2 0.0981 0.3500 0.4646
Ni3 0.3500 0.0981 0.4646
Ni4 0.3598 0.7468 0.6454
Ni5 0.7063 0.0810 0.2812
Ni6 0.7237 0.7237 0.4628
Ni7 0.7468 0.3598 0.6454
P1 0.0058 0.6289 0.7433
P2 0.0372 0.0372 0.5055
P3 0.4144 0.4144 0.4276
P4 0.4384 0.8225 0.1804
P5 0.6289 0.0058 0.7433
P6 0.8225 0.4384 0.1804
O1 0.0046 0.4431 0.2116
O2 0.0072 0.4477 0.7143
O3 0.0613 0.7236 0.9721
O4 0.1154 0.7090 0.6016
O5 0.1230 0.9467 0.3555
O6 0.1757 0.1757 0.6604
O7 0.2791 0.2791 0.2602
O8 0.3245 0.5040 0.5702
O9 0.3267 0.7406 0.3197
O10 0.3832 0.7223 0.9531
O11 0.4431 0.0046 0.2116
O12 0.4477 0.0072 0.7143
O13 0.5040 0.3245 0.5702
O14 0.5235 0.5235 0.3173
O15 0.6096 0.8224 0.6731
O16 0.6204 0.8348 0.2506
O17 0.7090 0.1154 0.6016
O18 0.7223 0.3832 0.9531
O19 0.7236 0.0613 0.9721
O20 0.7406 0.3267 0.3197
O21 0.8224 0.6096 0.6731
O22 0.8348 0.6204 0.2506
O23 0.9273 0.9273 0.6135
O24 0.9467 0.1230 0.3555

Main lines, sorted by position (15 to 90 degrees two-theta):
- 23.85 deg, I = 34
- 31.17 deg, I = 50
- 32.14 deg, I = 100
- 32.84 deg, I = 33
- 33.54 deg, I = 90
- 33.89 deg, I = 28
- 37.94 deg, I = 25
- 41.27 deg, I = 22
- 54.91 deg, I = 29
- 66.67 deg, I = 29